Nb3Fe20B6: simulated PXRD pattern (Cu Kα, 1.54184 Å), based on the GGA-PBE geometry in the Materials Project.
No peak broadening, texture or thermal motion is included.

Principal peaks in the range 10° ≤ 2θ ≤ 90°, most intense first:
- 2θ 43.9, 2.063 Å, rel. 100.0
- 2θ 41.3, 2.188 Å, rel. 43.1
- 2θ 48.0, 1.895 Å, rel. 28.9
- 2θ 75.2, 1.263 Å, rel. 28.3
- 2θ 37.5, 2.397 Å, rel. 28.2
- 2θ 50.4, 1.812 Å, rel. 18.7

Crystal structure
a = 10.720 Å, b = 10.720 Å, c = 10.720 Å
α = 90.00°, β = 90.00°, γ = 90.00°
Space group Fm-3m (No. 225)
One atom of each set of equivalent atoms:
Nb (0.000, 0.000, 0.000) x4
Nb (0.250, 0.250, 0.250) x8
Fe (0.000, 0.173, 0.173) x48
Fe (0.115, 0.115, 0.385) x32
B (0.000, 0.000, 0.271) x24

Cr2SN2: simulated PXRD pattern (Cu Kα, 1.54184 Å), based on the GGA-PBE geometry in the Materials Project.
No peak broadening, texture or thermal motion is included.

Principal peaks in the range 10° ≤ 2θ ≤ 90°, most intense first:
- 2θ 34.9, 2.570 Å, rel. 100.0
- 2θ 35.1, 2.558 Å, rel. 50.4
- 2θ 43.6, 2.077 Å, rel. 41.4
- 2θ 56.5, 1.630 Å, rel. 33.6
- 2θ 44.5, 2.038 Å, rel. 27.9
- 2θ 43.7, 2.073 Å, rel. 20.2

Crystal structure
a = 5.637 Å, b = 3.275 Å, c = 6.114 Å
α = 90.00°, β = 90.08°, γ = 90.00°
Space group C2/m (No. 12)
One atom of each set of equivalent atoms:
Cr (0.166, 0.000, 0.197) x4
S (0.000, 0.500, 0.500) x2
N (0.169, 0.000, 0.872) x4

Ti2AlNi: simulated PXRD pattern (Cu Kα, 1.54184 Å), based on the GGA-PBE geometry in the Materials Project.
No peak broadening, texture or thermal motion is included.

Principal peaks in the range 10° ≤ 2θ ≤ 90°, most intense first:
- 2θ 41.3, 2.186 Å, rel. 100.0
- 2θ 75.3, 1.262 Å, rel. 29.5
- 2θ 59.8, 1.546 Å, rel. 15.3
- 2θ 89.7, 1.093 Å, rel. 9.3
- 2θ 28.9, 3.091 Å, rel. 5.7
- 2θ 24.9, 3.570 Å, rel. 5.5

Crystal structure
a = 6.183 Å, b = 6.183 Å, c = 6.183 Å
α = 90.00°, β = 90.00°, γ = 90.00°
Space group F-43m (No. 216)
One atom of each set of equivalent atoms:
Ti (0.000, 0.000, 0.000) x4
Ti (0.250, 0.250, 0.250) x4
Al (0.250, 0.250, 0.750) x4
Ni (0.000, 0.000, 0.500) x4

TiS2: simulated PXRD pattern (Cu Kα, 1.54184 Å), based on the GGA-PBE geometry in the Materials Project.
No peak broadening, texture or thermal motion is included.

Principal peaks in the range 10° ≤ 2θ ≤ 90°, most intense first:
- 2θ 36.6, 2.455 Å, rel. 100.0
- 2θ 52.7, 1.736 Å, rel. 62.2
- 2θ 15.6, 5.669 Å, rel. 61.5
- 2θ 30.2, 2.961 Å, rel. 29.5
- 2θ 89.2, 1.098 Å, rel. 27.2
- 2θ 65.9, 1.417 Å, rel. 20.1

Crystal structure
a = 9.819 Å, b = 9.819 Å, c = 9.819 Å
α = 90.00°, β = 90.00°, γ = 90.00°
Space group Fd-3m (No. 227, origin choice 2)
One atom of each set of equivalent atoms:
Ti (0.000, 0.000, 0.000) x16
S (0.002, 0.002, 0.248) x32

Si2N2O: simulated PXRD pattern (Cu Kα, 1.54184 Å), based on the GGA-PBE geometry in the Materials Project.
No peak broadening, texture or thermal motion is included.

Principal peaks in the range 10° ≤ 2θ ≤ 90°, most intense first:
- 2θ 35.7, 2.513 Å, rel. 100.0
- 2θ 58.4, 1.580 Å, rel. 78.4
- 2θ 43.9, 2.061 Å, rel. 64.9
- 2θ 38.2, 2.354 Å, rel. 53.4
- 2θ 35.7, 2.517 Å, rel. 50.8
- 2θ 26.0, 3.426 Å, rel. 50.4

Crystal structure
a = 8.173 Å, b = 4.676 Å, c = 12.796 Å
α = 90.00°, β = 90.10°, γ = 90.00°
Space group C2/c (No. 15)
One atom of each set of equivalent atoms:
Si (0.001, 0.002, 0.147) x8
Si (0.178, 0.491, 0.814) x8
Si (0.178, 0.493, 0.520) x8
N (0.149, 0.143, 0.752) x8
N (0.162, 0.209, 0.415) x8
N (0.180, 0.160, 0.083) x8
O (0.000, 0.332, 0.250) x4
O (0.006, 0.339, 0.918) x8

Co8RuS8: simulated PXRD pattern (Cu Kα, 1.54184 Å), based on the GGA-PBE geometry in the Materials Project.
No peak broadening, texture or thermal motion is included.

Principal peaks in the range 10° ≤ 2θ ≤ 90°, most intense first:
- 2θ 30.1, 2.973 Å, rel. 100.0
- 2θ 52.5, 1.743 Å, rel. 91.9
- 2θ 47.9, 1.898 Å, rel. 37.7
- 2θ 73.8, 1.284 Å, rel. 19.0
- 2θ 77.4, 1.233 Å, rel. 13.5
- 2θ 61.7, 1.504 Å, rel. 11.7

Crystal structure
a = 9.860 Å, b = 9.860 Å, c = 9.860 Å
α = 90.00°, β = 90.00°, γ = 90.00°
Space group Fm-3m (No. 225)
One atom of each set of equivalent atoms:
Co (0.126, 0.126, 0.126) x32
Ru (0.000, 0.000, 0.500) x4
S (0.000, 0.000, 0.260) x24
S (0.250, 0.250, 0.250) x8

In2S3O12: simulated PXRD pattern (Cu Kα, 1.54184 Å), based on the GGA-PBE geometry in the Materials Project.
No peak broadening, texture or thermal motion is included.

Principal peaks in the range 10° ≤ 2θ ≤ 90°, most intense first:
- 2θ 19.3, 4.607 Å, rel. 100.0
- 2θ 30.8, 2.904 Å, rel. 79.8
- 2θ 23.0, 3.859 Å, rel. 73.3
- 2θ 19.9, 4.471 Å, rel. 71.5
- 2θ 27.8, 3.208 Å, rel. 68.0
- 2θ 13.8, 6.417 Å, rel. 54.5

Crystal structure
a = 8.9418 Å, b = 8.9418 Å, c = 22.9228 Å
α = 90.00°, β = 90.00°, γ = 120.00°
Space group R-3c (No. 167, hexagonal axes)
One atom of each set of equivalent atoms:
In (0.0000, 0.0000, 0.1466) x12
S (0.0000, 0.2915, 0.2500) x18
O (0.0248, 0.2031, 0.9094) x36
O (0.0331, 0.2150, 0.1977) x36

Which formula does entry 2 have? Cr2SN2

Repeat the first record exactly.
Nb3Fe20B6: simulated PXRD pattern (Cu Kα, 1.54184 Å), based on the GGA-PBE geometry in the Materials Project.
No peak broadening, texture or thermal motion is included.

Principal peaks in the range 10° ≤ 2θ ≤ 90°, most intense first:
- 2θ 43.9, 2.063 Å, rel. 100.0
- 2θ 41.3, 2.188 Å, rel. 43.1
- 2θ 48.0, 1.895 Å, rel. 28.9
- 2θ 75.2, 1.263 Å, rel. 28.3
- 2θ 37.5, 2.397 Å, rel. 28.2
- 2θ 50.4, 1.812 Å, rel. 18.7

Crystal structure
a = 10.720 Å, b = 10.720 Å, c = 10.720 Å
α = 90.00°, β = 90.00°, γ = 90.00°
Space group Fm-3m (No. 225)
One atom of each set of equivalent atoms:
Nb (0.000, 0.000, 0.000) x4
Nb (0.250, 0.250, 0.250) x8
Fe (0.000, 0.173, 0.173) x48
Fe (0.115, 0.115, 0.385) x32
B (0.000, 0.000, 0.271) x24

Number 5 is which compound? Si2N2O

Number 7 is which compound? In2S3O12